Starting from the GGA-PBE geometry in the Materials Project, the powder X-ray diffraction pattern of Ge was calculated for Cu Kα, 1.54184 Å.
Kinematic intensities with the Lorentz-polarization factor, no thermal factor.

Top 6 peaks for 10° ≤ 2θ ≤ 80°, in order of rising 2θ:
2θ 16.05, d = 5.522 Å, rel. 41, hkl 2 2 0; 2θ 19.69, d = 4.509 Å, rel. 44, hkl 2 2 2; 2θ 29.72, d = 3.006 Å, rel. 100, hkl 3 3 3; 2θ 32.42, d = 2.761 Å, rel. 27, hkl 4 4 0; 2θ 41.28, d = 2.187 Å, rel. 74, hkl 5 5 1; 2θ 49.52, d = 1.841 Å, rel. 91, hkl 6 6 0

Structure:
abc: 15.6199 15.6199 15.6199
angles: 90.00 90.00 90.00
Space group Fd-3m (No. 227, origin choice 2)
Asymmetric unit:
Ge 0.0213 0.0213 0.2287 [32 per cell]
Ge 0.0663 0.0663 0.8702 [96 per cell]
Ge 0.1250 0.1250 0.1250 [8 per cell]



Starting from the GGA-PBE geometry in the Materials Project, the powder X-ray diffraction pattern of Ga4B2O9 was calculated for Cu Kα, 1.54184 Å.
Kinematic intensities with the Lorentz-polarization factor, no thermal factor.

Top 6 peaks for 10° ≤ 2θ ≤ 80°, in order of rising 2θ:
2θ 16.01, d = 5.536 Å, rel. 79, hkl 2 0 0; 2θ 16.17, d = 5.483 Å, rel. 100, hkl 2 0 -2; 2θ 17.30, d = 5.125 Å, rel. 97, hkl 1 1 0; 2θ 32.66, d = 2.742 Å, rel. 62, hkl 4 0 -4; 2θ 35.04, d = 2.561 Å, rel. 62, hkl 2 2 0; 2θ 38.51, d = 2.338 Å, rel. 42, hkl 0 2 2

Structure:
abc: 15.2998 5.7840 10.9738
angles: 90.00 133.64 90.00
Space group Cm (No. 8)
Asymmetric unit:
Ga 0.0000 0.0000 0.0000 [2 per cell]
Ga 0.0075 0.0000 0.5580 [2 per cell]
Ga 0.1423 0.0000 0.4567 [2 per cell]
Ga 0.2370 0.2486 0.3206 [4 per cell]
Ga 0.2400 0.2484 0.8298 [4 per cell]
Ga 0.3173 0.5000 0.1656 [2 per cell]
B 0.2053 0.0000 0.0455 [2 per cell]
B 0.2156 0.5000 0.5529 [2 per cell]
B 0.4851 0.0000 0.6018 [2 per cell]
B 0.4857 0.0000 0.0273 [2 per cell]
O 0.0504 0.2946 0.6647 [4 per cell]
O 0.0753 0.0000 0.9278 [2 per cell]
O 0.1074 0.5000 0.1659 [2 per cell]
O 0.1225 0.0000 0.2431 [2 per cell]
O 0.1856 0.0000 0.6718 [2 per cell]
O 0.2077 0.2939 0.4802 [4 per cell]
O 0.2328 0.5000 0.6931 [2 per cell]
O 0.2494 0.0000 0.9597 [2 per cell]
O 0.2573 0.2120 0.1632 [4 per cell]
O 0.2839 0.5000 0.9699 [2 per cell]
O 0.3421 0.5000 0.4219 [2 per cell]
O 0.3599 0.0000 0.4792 [2 per cell]
O 0.4213 0.2087 0.9545 [4 per cell]
O 0.4840 0.5000 0.3599 [2 per cell]



Starting from the GGA-PBE geometry in the Materials Project, the powder X-ray diffraction pattern of ErGaRh was calculated for Cu Kα, 1.54184 Å.
Kinematic intensities with the Lorentz-polarization factor, no thermal factor.

Top 6 peaks for 10° ≤ 2θ ≤ 80°, in order of rising 2θ:
2θ 33.64, d = 2.664 Å, rel. 58, hkl 1 1 2; 2θ 35.22, d = 2.548 Å, rel. 28, hkl 2 0 2; 2θ 35.55, d = 2.525 Å, rel. 100, hkl 2 1 1; 2θ 37.22, d = 2.416 Å, rel. 18, hkl 1 0 3; 2θ 40.56, d = 2.224 Å, rel. 41, hkl 0 1 3; 2θ 41.43, d = 2.179 Å, rel. 37, hkl 0 2 0

Structure:
abc: 6.7593 4.3586 7.7591
angles: 90.00 90.00 90.00
Space group Pnma (No. 62)
Asymmetric unit:
Er 0.0198 0.2500 0.1926 [4 per cell]
Ga 0.1640 0.2500 0.5724 [4 per cell]
Rh 0.2292 0.7500 0.3955 [4 per cell]



Starting from the GGA-PBE geometry in the Materials Project, the powder X-ray diffraction pattern of Ti16Hg4C5 was calculated for Cu Kα, 1.54184 Å.
Kinematic intensities with the Lorentz-polarization factor, no thermal factor.

Top 6 peaks for 10° ≤ 2θ ≤ 80°, in order of rising 2θ:
2θ 23.62, d = 3.767 Å, rel. 100, hkl 1 0 0; 2θ 25.94, d = 3.434 Å, rel. 43, hkl 1 0 4; 2θ 33.90, d = 2.644 Å, rel. 28, hkl 1 0 9; 2θ 35.37, d = 2.538 Å, rel. 29, hkl 1 1 4; 2θ 41.73, d = 2.164 Å, rel. 38, hkl 1 1 9; 2θ 48.32, d = 1.884 Å, rel. 35, hkl 2 0 0

Structure:
abc: 3.7675 3.7675 33.4086
angles: 90.00 90.00 90.00
Space group P4/mmm (No. 123)
Asymmetric unit:
Ti 0.0000 0.0000 0.0000 [1 per cell]
Ti 0.0000 0.0000 0.0728 [2 per cell]
Ti 0.0000 0.0000 0.2447 [2 per cell]
Ti 0.0000 0.0000 0.5000 [1 per cell]
Ti 0.0000 0.5000 0.0000 [2 per cell]
Ti 0.0000 0.5000 0.3017 [4 per cell]
Ti 0.0000 0.5000 0.4471 [4 per cell]
Hg 0.0000 0.0000 0.1582 [2 per cell]
Hg 0.0000 0.0000 0.3746 [2 per cell]
C 0.5000 0.5000 0.0492 [2 per cell]
C 0.5000 0.5000 0.2684 [2 per cell]
C 0.5000 0.5000 0.5000 [1 per cell]



Starting from the GGA-PBE geometry in the Materials Project, the powder X-ray diffraction pattern of TaTi3 was calculated for Cu Kα, 1.54184 Å.
Kinematic intensities with the Lorentz-polarization factor, no thermal factor.

Top 6 peaks for 10° ≤ 2θ ≤ 80°, in order of rising 2θ:
2θ 24.47, d = 3.638 Å, rel. 50, hkl 1 0 1; 2θ 37.85, d = 2.377 Å, rel. 100, hkl 1 1 2; 2θ 41.05, d = 2.199 Å, rel. 20, hkl 0 0 4; 2θ 45.40, d = 1.998 Å, rel. 29, hkl 2 0 0; 2θ 62.85, d = 1.479 Å, rel. 21, hkl 2 0 4; 2θ 78.81, d = 1.214 Å, rel. 22, hkl 3 1 2

Structure:
abc: 3.9957 3.9957 8.7959
angles: 90.00 90.00 90.00
Space group I4/mmm (No. 139)
Asymmetric unit:
Ta 0.0000 0.0000 0.0000 [2 per cell]
Ti 0.0000 0.0000 0.5000 [2 per cell]
Ti 0.0000 0.5000 0.2500 [4 per cell]



Starting from the GGA-PBE geometry in the Materials Project, the powder X-ray diffraction pattern of Y3Ru was calculated for Cu Kα, 1.54184 Å.
Kinematic intensities with the Lorentz-polarization factor, no thermal factor.

Top 6 peaks for 10° ≤ 2θ ≤ 80°, in order of rising 2θ:
2θ 29.67, d = 3.011 Å, rel. 26, hkl 2 1 1; 2θ 31.03, d = 2.882 Å, rel. 36, hkl 2 2 0; 2θ 32.21, d = 2.779 Å, rel. 100, hkl 0 3 1; 2θ 34.19, d = 2.622 Å, rel. 66, hkl 2 2 1; 2θ 34.51, d = 2.599 Å, rel. 48, hkl 1 3 1; 2θ 38.03, d = 2.366 Å, rel. 29, hkl 2 3 0

Structure:
abc: 7.3586 9.2697 6.3481
angles: 90.00 90.00 90.00
Space group Pnma (No. 62)
Asymmetric unit:
Y 0.0424 0.2500 0.1359 [4 per cell]
Y 0.1757 0.0649 0.6701 [8 per cell]
Ru 0.1154 0.7500 0.4599 [4 per cell]